Structure and theoretical X-ray diffraction stick pattern of ScP3Rh5 (a crystal structure in Alexandria, relaxed with GGA-PBE; Cu Kα (λ = 1.5418 Å)).
Kinematic intensities with the Lorentz-polarization factor, no thermal factor.

Principal peaks in the range 5 to 70 degrees two-theta, sorted by position:
Position (°2θ)	I_rel
26.8	314
32.5	545
33.6	268
35.4	195
36.8	396
37.8	341
38.9	288
42.5	345
44.2	1000
50.5	367

Crystal structure
Unit cell a=5.634 b=5.634 c=13.913 alpha=90.00 beta=90.00 gamma=142.59
Fractional coordinates of all 18 atoms:
1 Sc 0.203 0.797 0.750
2 Sc 0.797 0.203 0.250
3 P 0.049 0.951 0.250
4 P 0.356 0.644 0.505
5 P 0.356 0.644 0.995
6 P 0.644 0.356 0.005
7 P 0.644 0.356 0.495
8 P 0.951 0.049 0.750
9 Rh 0.000 0.000 0.000
10 Rh 0.000 0.000 0.500
11 Rh 0.202 0.798 0.112
12 Rh 0.202 0.798 0.388
13 Rh 0.472 0.528 0.151
14 Rh 0.472 0.528 0.349
15 Rh 0.528 0.472 0.651
16 Rh 0.528 0.472 0.849
17 Rh 0.798 0.202 0.612
18 Rh 0.798 0.202 0.888